1.
This entry pairs a crystal structure of Li2CrPO4F with its theoretical X-ray powder pattern. Radiation: λ = 1.5418 Å (Cu Kα). Structure: DFT lattice parameters and positions (PBE+U).
Lines closer than 0.1° are merged.

Atomic structure:
```
data_Li2CrPO4F
_chemical_formula_sum 'Li4 Cr2 P2 O8 F2'
_cell_length_a 5.338
_cell_length_b 5.487
_cell_length_c 7.761
_cell_angle_alpha 107.67
_cell_angle_beta 108.25
_cell_angle_gamma 94.87
_space_group_name_H-M_alt 'P 1'
_space_group_IT_number 1
_space_group_name_Hall 'P 1'
loop_
_atom_site_label
_atom_site_fract_x
_atom_site_fract_y
_atom_site_fract_z
_atom_site_occupancy
Li1 0.000 0.000 0.000 1
Li2 0.005 0.361 0.470 1
Li3 0.758 0.437 0.744 1
Li4 0.932 0.513 0.127 1
Cr1 0.427 0.434 0.118 1
Cr2 0.912 0.918 0.603 1
P1 0.345 0.057 0.373 1
P2 0.485 0.802 0.858 1
O1 0.174 0.723 0.751 1
O2 0.200 0.091 0.521 1
O3 0.248 0.248 0.263 1
O4 0.262 0.779 0.221 1
O5 0.573 0.082 0.005 1
O6 0.585 0.603 0.960 1
O7 0.645 0.769 0.717 1
O8 0.657 0.142 0.486 1
F1 0.830 0.560 0.341 1
F2 0.999 0.292 0.904 1
```

Most intense lines, 2θ = 10–80°, sorted by position:
17.6°, d = 5.042 Å, rel. 16.6
17.9°, d = 4.963 Å, rel. 34.2
25.0°, d = 3.563 Å, rel. 79.0
25.6°, d = 3.482 Å, rel. 100.0
26.0°, d = 3.429 Å, rel. 22.1
27.8°, d = 3.210 Å, rel. 63.3
34.1°, d = 2.629 Å, rel. 16.1
36.4°, d = 2.470 Å, rel. 19.1
39.4°, d = 2.288 Å, rel. 17.1
52.7°, d = 1.738 Å, rel. 20.8


2.
This entry pairs a crystal structure of Li3Cr2P2O8F2 with its theoretical X-ray powder pattern. Radiation: λ = 1.5418 Å (Cu Kα). Structure: DFT lattice parameters and positions (PBE+U).
Lines closer than 0.1° are merged.

Atomic structure:
```
data_Li3Cr2P2O8F2
_chemical_formula_sum 'Li3 Cr2 P2 O8 F2'
_cell_length_a 5.272
_cell_length_b 5.293
_cell_length_c 7.560
_cell_angle_alpha 105.85
_cell_angle_beta 106.82
_cell_angle_gamma 97.47
_space_group_name_H-M_alt 'P -1'
_space_group_IT_number 2
_space_group_name_Hall '-P 1'
loop_
_atom_site_label
_atom_site_fract_x
_atom_site_fract_y
_atom_site_fract_z
_atom_site_occupancy
Li1 0.000 0.000 0.000 1
Li2 0.415 0.259 0.352 1
Cr1 0.000 0.500 0.000 1
Cr2 0.000 0.500 0.500 1
P1 0.365 0.177 0.739 1
O1 0.205 0.247 0.882 1
O2 0.257 0.882 0.602 1
O3 0.330 0.807 0.146 1
O4 0.351 0.373 0.617 1
F1 0.086 0.333 0.205 1
```

Most intense lines, 2θ = 10–80°, sorted by position:
17.9°, d = 4.958 Å, rel. 41.0
18.0°, d = 4.915 Å, rel. 27.7
18.3°, d = 4.838 Å, rel. 29.5
25.7°, d = 3.470 Å, rel. 26.8
25.8°, d = 3.453 Å, rel. 26.8
26.1°, d = 3.415 Å, rel. 25.3
26.2°, d = 3.402 Å, rel. 100.0
26.4°, d = 3.379 Å, rel. 62.0
28.3°, d = 3.151 Å, rel. 78.9
34.4°, d = 2.609 Å, rel. 25.6


3.
This entry pairs a crystal structure of Li3VCrP2O8F2 with its theoretical X-ray powder pattern. Radiation: λ = 1.5418 Å (Cu Kα). Structure: DFT lattice parameters and positions (PBE+U).
Lines closer than 0.1° are merged.

Atomic structure:
```
data_Li3VCrP2O8F2
_chemical_formula_sum 'Li3 V1 Cr1 P2 O8 F2'
_cell_length_a 5.293
_cell_length_b 5.383
_cell_length_c 7.554
_cell_angle_alpha 106.42
_cell_angle_beta 109.20
_cell_angle_gamma 96.94
_space_group_name_H-M_alt 'P 1'
_space_group_IT_number 1
_space_group_name_Hall 'P 1'
loop_
_atom_site_label
_atom_site_fract_x
_atom_site_fract_y
_atom_site_fract_z
_atom_site_occupancy
Li1 0.000 0.000 0.000 1
Li2 0.219 0.435 0.361 1
Li3 0.468 0.810 0.717 1
V1 0.726 0.399 0.851 1
Cr1 0.720 0.396 0.352 1
P1 0.059 0.039 0.610 1
P2 0.392 0.756 0.091 1
O1 0.049 0.741 0.511 1
O2 0.089 0.645 0.930 1
O3 0.362 0.150 0.769 1
O4 0.401 0.053 0.188 1
O5 0.448 0.608 0.241 1
O6 0.596 0.727 0.978 1
O7 0.858 0.067 0.725 1
O8 0.999 0.188 0.460 1
F1 0.559 0.493 0.603 1
F2 0.889 0.311 0.100 1
```

Most intense lines, 2θ = 10–80°, sorted by position:
17.7°, d = 5.018 Å, rel. 26.1
18.0°, d = 4.920 Å, rel. 26.2
18.3°, d = 4.858 Å, rel. 23.1
25.5°, d = 3.488 Å, rel. 41.0
25.9°, d = 3.437 Å, rel. 62.3
26.4°, d = 3.372 Å, rel. 100.0
28.4°, d = 3.139 Å, rel. 72.4
36.2°, d = 2.480 Å, rel. 18.3
40.6°, d = 2.223 Å, rel. 26.2
54.5°, d = 1.685 Å, rel. 38.7


4.
This entry pairs a crystal structure of MgCrF4 with its theoretical X-ray powder pattern. Radiation: λ = 1.5418 Å (Cu Kα). Structure: DFT lattice parameters and positions (PBE+U).
Lines closer than 0.1° are merged.

Atomic structure:
```
data_MgCrF4
_chemical_formula_sum 'Mg4 Cr4 F16'
_cell_length_a 5.099
_cell_length_b 5.188
_cell_length_c 10.406
_cell_angle_alpha 90.00
_cell_angle_beta 90.00
_cell_angle_gamma 90.00
_space_group_name_H-M_alt 'I b a m'
_space_group_IT_number 72
_space_group_name_Hall '-I 2 2c'
loop_
_atom_site_label
_atom_site_fract_x
_atom_site_fract_y
_atom_site_fract_z
_atom_site_occupancy
Mg1 0.000 0.000 0.250 1
Cr1 0.000 0.500 0.000 1
F1 0.209 0.309 0.136 1
```

Most intense lines, 2θ = 10–80°, sorted by position:
24.5°, d = 3.637 Å, rel. 17.9
30.0°, d = 2.981 Å, rel. 100.0
39.4°, d = 2.289 Å, rel. 5.1
39.9°, d = 2.257 Å, rel. 8.0
47.2°, d = 1.924 Å, rel. 7.1
49.6°, d = 1.837 Å, rel. 31.3
50.1°, d = 1.820 Å, rel. 62.8
59.0°, d = 1.565 Å, rel. 13.7
59.1°, d = 1.562 Å, rel. 13.5
60.0°, d = 1.543 Å, rel. 12.9


Repeat the first record exactly.
This entry pairs a crystal structure of Li2CrPO4F with its theoretical X-ray powder pattern. Radiation: λ = 1.5418 Å (Cu Kα). Structure: DFT lattice parameters and positions (PBE+U).
Lines closer than 0.1° are merged.

Atomic structure:
```
data_Li2CrPO4F
_chemical_formula_sum 'Li4 Cr2 P2 O8 F2'
_cell_length_a 5.338
_cell_length_b 5.487
_cell_length_c 7.761
_cell_angle_alpha 107.67
_cell_angle_beta 108.25
_cell_angle_gamma 94.87
_space_group_name_H-M_alt 'P 1'
_space_group_IT_number 1
_space_group_name_Hall 'P 1'
loop_
_atom_site_label
_atom_site_fract_x
_atom_site_fract_y
_atom_site_fract_z
_atom_site_occupancy
Li1 0.000 0.000 0.000 1
Li2 0.005 0.361 0.470 1
Li3 0.758 0.437 0.744 1
Li4 0.932 0.513 0.127 1
Cr1 0.427 0.434 0.118 1
Cr2 0.912 0.918 0.603 1
P1 0.345 0.057 0.373 1
P2 0.485 0.802 0.858 1
O1 0.174 0.723 0.751 1
O2 0.200 0.091 0.521 1
O3 0.248 0.248 0.263 1
O4 0.262 0.779 0.221 1
O5 0.573 0.082 0.005 1
O6 0.585 0.603 0.960 1
O7 0.645 0.769 0.717 1
O8 0.657 0.142 0.486 1
F1 0.830 0.560 0.341 1
F2 0.999 0.292 0.904 1
```

Most intense lines, 2θ = 10–80°, sorted by position:
17.6°, d = 5.042 Å, rel. 16.6
17.9°, d = 4.963 Å, rel. 34.2
25.0°, d = 3.563 Å, rel. 79.0
25.6°, d = 3.482 Å, rel. 100.0
26.0°, d = 3.429 Å, rel. 22.1
27.8°, d = 3.210 Å, rel. 63.3
34.1°, d = 2.629 Å, rel. 16.1
36.4°, d = 2.470 Å, rel. 19.1
39.4°, d = 2.288 Å, rel. 17.1
52.7°, d = 1.738 Å, rel. 20.8


Please write out number 2 again, unchanged.
This entry pairs a crystal structure of Li3Cr2P2O8F2 with its theoretical X-ray powder pattern. Radiation: λ = 1.5418 Å (Cu Kα). Structure: DFT lattice parameters and positions (PBE+U).
Lines closer than 0.1° are merged.

Atomic structure:
```
data_Li3Cr2P2O8F2
_chemical_formula_sum 'Li3 Cr2 P2 O8 F2'
_cell_length_a 5.272
_cell_length_b 5.293
_cell_length_c 7.560
_cell_angle_alpha 105.85
_cell_angle_beta 106.82
_cell_angle_gamma 97.47
_space_group_name_H-M_alt 'P -1'
_space_group_IT_number 2
_space_group_name_Hall '-P 1'
loop_
_atom_site_label
_atom_site_fract_x
_atom_site_fract_y
_atom_site_fract_z
_atom_site_occupancy
Li1 0.000 0.000 0.000 1
Li2 0.415 0.259 0.352 1
Cr1 0.000 0.500 0.000 1
Cr2 0.000 0.500 0.500 1
P1 0.365 0.177 0.739 1
O1 0.205 0.247 0.882 1
O2 0.257 0.882 0.602 1
O3 0.330 0.807 0.146 1
O4 0.351 0.373 0.617 1
F1 0.086 0.333 0.205 1
```

Most intense lines, 2θ = 10–80°, sorted by position:
17.9°, d = 4.958 Å, rel. 41.0
18.0°, d = 4.915 Å, rel. 27.7
18.3°, d = 4.838 Å, rel. 29.5
25.7°, d = 3.470 Å, rel. 26.8
25.8°, d = 3.453 Å, rel. 26.8
26.1°, d = 3.415 Å, rel. 25.3
26.2°, d = 3.402 Å, rel. 100.0
26.4°, d = 3.379 Å, rel. 62.0
28.3°, d = 3.151 Å, rel. 78.9
34.4°, d = 2.609 Å, rel. 25.6